[1]
Structure and simulated X-ray powder pattern of Ba (a DFT-relaxed cell (PBE, the Materials Project); CuKα).
Intensities are scaled so that the largest is 100.

Most intense lines, 2θ = 15–90°, in order of rising 2θ:
2θ 21.8, d = 4.071 Å, rel. 42.2; 2θ 24.1, d = 3.698 Å, rel. 100.0; 2θ 25.9, d = 3.436 Å, rel. 41.6; 2θ 32.7, d = 2.738 Å, rel. 91.0; 2θ 42.3, d = 2.135 Å, rel. 22.1; 2θ 43.5, d = 2.081 Å, rel. 20.4; 2θ 48.1, d = 1.891 Å, rel. 30.4; 2θ 51.2, d = 1.783 Å, rel. 25.2; 2θ 54.5, d = 1.684 Å, rel. 21.0; 2θ 71.3, d = 1.322 Å, rel. 19.0

Cell and atoms:
```
data_Ba
_symmetry_space_group_name_H-M 'P 6/m m m'
_symmetry_Int_Tables_number 191
_symmetry_space_group_name_Hall '-P 6 2'
_cell_length_a 7.3970
_cell_length_b 7.3970
_cell_length_c 4.0713
_cell_angle_alpha 90.00
_cell_angle_beta 90.00
_cell_angle_gamma 120.00
loop_
_atom_site_label
_atom_site_type_symbol
_atom_site_fract_x
_atom_site_fract_y
_atom_site_fract_z
Ba1 Ba 0.3333 0.6667 0.0000
```

***

[2]
Structure and simulated X-ray powder pattern of Pd3N (a DFT-relaxed cell (PBE, the Materials Project); CuKα).
Intensities are scaled so that the largest is 100.

Most intense lines, 2θ = 15–90°, in order of rising 2θ:
2θ 21.7, d = 4.087 Å, rel. 51.5; 2θ 30.9, d = 2.890 Å, rel. 24.3; 2θ 38.1, d = 2.360 Å, rel. 100.0; 2θ 44.3, d = 2.043 Å, rel. 57.0; 2θ 49.9, d = 1.828 Å, rel. 20.3; 2θ 55.0, d = 1.668 Å, rel. 9.9; 2θ 64.5, d = 1.445 Å, rel. 35.9; 2θ 68.9, d = 1.362 Å, rel. 9.1; 2θ 77.5, d = 1.232 Å, rel. 37.2; 2θ 81.6, d = 1.180 Å, rel. 12.1

Cell and atoms:
```
data_Pd3N
_symmetry_space_group_name_H-M 'P m -3 m'
_symmetry_Int_Tables_number 221
_symmetry_space_group_name_Hall '-P 4 2 3'
_cell_length_a 4.0869
_cell_length_b 4.0869
_cell_length_c 4.0869
_cell_angle_alpha 90.00
_cell_angle_beta 90.00
_cell_angle_gamma 90.00
loop_
_atom_site_label
_atom_site_type_symbol
_atom_site_fract_x
_atom_site_fract_y
_atom_site_fract_z
Pd1 Pd 0.0000 0.0000 0.5000
N1 N 0.0000 0.0000 0.0000
```

***

[3]
Structure and simulated X-ray powder pattern of TiGa3 (a DFT-relaxed cell (PBE, the Materials Project); CuKα).
Intensities are scaled so that the largest is 100.

Most intense lines, 2θ = 15–90°, in order of rising 2θ:
2θ 25.5, d = 3.494 Å, rel. 2.7; 2θ 39.2, d = 2.297 Å, rel. 100.0; 2θ 40.9, d = 2.204 Å, rel. 22.1; 2θ 47.8, d = 1.903 Å, rel. 27.8; 2θ 64.7, d = 1.440 Å, rel. 21.4; 2θ 69.9, d = 1.346 Å, rel. 8.4; 2θ 73.4, d = 1.290 Å, rel. 14.5; 2θ 83.2, d = 1.161 Å, rel. 20.5; 2θ 84.3, d = 1.148 Å, rel. 9.9; 2θ 88.8, d = 1.102 Å, rel. 2.2

Cell and atoms:
```
data_TiGa3
_symmetry_space_group_name_H-M 'I 4/m m m'
_symmetry_Int_Tables_number 139
_symmetry_space_group_name_Hall '-I 4 2'
_cell_length_a 3.8058
_cell_length_b 3.8058
_cell_length_c 8.8172
_cell_angle_alpha 90.00
_cell_angle_beta 90.00
_cell_angle_gamma 90.00
loop_
_atom_site_label
_atom_site_type_symbol
_atom_site_fract_x
_atom_site_fract_y
_atom_site_fract_z
Ti1 Ti 0.0000 0.0000 0.0000
Ga1 Ga 0.0000 0.0000 0.5000
Ga2 Ga 0.0000 0.5000 0.2500
```

***

What did the second record say?
Structure and simulated X-ray powder pattern of Pd3N (a DFT-relaxed cell (PBE, the Materials Project); CuKα).
Intensities are scaled so that the largest is 100.

Most intense lines, 2θ = 15–90°, in order of rising 2θ:
2θ 21.7, d = 4.087 Å, rel. 51.5; 2θ 30.9, d = 2.890 Å, rel. 24.3; 2θ 38.1, d = 2.360 Å, rel. 100.0; 2θ 44.3, d = 2.043 Å, rel. 57.0; 2θ 49.9, d = 1.828 Å, rel. 20.3; 2θ 55.0, d = 1.668 Å, rel. 9.9; 2θ 64.5, d = 1.445 Å, rel. 35.9; 2θ 68.9, d = 1.362 Å, rel. 9.1; 2θ 77.5, d = 1.232 Å, rel. 37.2; 2θ 81.6, d = 1.180 Å, rel. 12.1

Cell and atoms:
```
data_Pd3N
_symmetry_space_group_name_H-M 'P m -3 m'
_symmetry_Int_Tables_number 221
_symmetry_space_group_name_Hall '-P 4 2 3'
_cell_length_a 4.0869
_cell_length_b 4.0869
_cell_length_c 4.0869
_cell_angle_alpha 90.00
_cell_angle_beta 90.00
_cell_angle_gamma 90.00
loop_
_atom_site_label
_atom_site_type_symbol
_atom_site_fract_x
_atom_site_fract_y
_atom_site_fract_z
Pd1 Pd 0.0000 0.0000 0.5000
N1 N 0.0000 0.0000 0.0000
```